1.
Starting from a crystal structure in the Materials Project, relaxed with GGA-PBE, the powder X-ray diffraction pattern of Sm2ZnRu was computed for copper Kα.
Neutral-atom scattering factors, no anomalous dispersion.

Largest 9 diffraction maxima, in order of rising 2θ, 2θ from 10° to 80°:
2θ 21.66, d = 4.102 Å, intensity 1; 2θ 25.07, d = 3.553 Å, intensity 8; 2θ 35.74, d = 2.512 Å, intensity 100; 2θ 42.18, d = 2.142 Å, intensity 1; 2θ 44.15, d = 2.051 Å, intensity 3; 2θ 51.44, d = 1.776 Å, intensity 18; 2θ 58.06, d = 1.589 Å, intensity 4; 2θ 64.22, d = 1.450 Å, intensity 36; 2θ 75.73, d = 1.256 Å, intensity 11

Structure:
a = 7.105 Å, b = 7.105 Å, c = 7.105 Å
α = 90.00°, β = 90.00°, γ = 90.00°
Element x y z (fractional)
Sm 0.250 0.250 0.250
Sm 0.250 0.250 0.750
Sm 0.250 0.750 0.250
Sm 0.250 0.750 0.750
Sm 0.750 0.250 0.250
Sm 0.750 0.250 0.750
Sm 0.750 0.750 0.250
Sm 0.750 0.750 0.750
Zn 0.000 0.000 0.000
Zn 0.000 0.500 0.500
Zn 0.500 0.000 0.500
Zn 0.500 0.500 0.000
Ru 0.000 0.000 0.500
Ru 0.000 0.500 0.000
Ru 0.500 0.000 0.000
Ru 0.500 0.500 0.500

=====

2.
Starting from a crystal structure in the Materials Project, relaxed with GGA-PBE, the powder X-ray diffraction pattern of SmZnPd was computed for copper Kα.
Neutral-atom scattering factors, no anomalous dispersion.

Largest 10 diffraction maxima, in order of rising 2θ, 2θ from 10° to 80°:
2θ 33.13, d = 2.704 Å, intensity 99; 2θ 36.03, d = 2.493 Å, intensity 100; 2θ 37.00, d = 2.430 Å, intensity 41; 2θ 42.18, d = 2.143 Å, intensity 35; 2θ 43.75, d = 2.069 Å, intensity 25; 2θ 45.97, d = 1.974 Å, intensity 26; 2θ 56.65, d = 1.625 Å, intensity 22; 2θ 60.42, d = 1.532 Å, intensity 19; 2θ 64.15, d = 1.452 Å, intensity 20; 2θ 67.84, d = 1.381 Å, intensity 28

Structure:
a = 7.422 Å, b = 7.422 Å, c = 3.948 Å
α = 90.00°, β = 90.00°, γ = 120.00°
Element x y z (fractional)
Sm 0.000 0.408 0.000
Sm 0.408 0.000 0.000
Sm 0.592 0.592 0.000
Zn 0.000 0.755 0.500
Zn 0.245 0.245 0.500
Zn 0.755 0.000 0.500
Pd 0.000 0.000 0.000
Pd 0.333 0.667 0.500
Pd 0.667 0.333 0.500

=====

3.
Starting from a crystal structure in the Materials Project, relaxed with GGA-PBE, the powder X-ray diffraction pattern of MgGa2O4 was computed for copper Kα.
Neutral-atom scattering factors, no anomalous dispersion.

Largest 10 diffraction maxima, in order of rising 2θ, 2θ from 10° to 80°:
2θ 18.37, d = 4.829 Å, intensity 23; 2θ 30.13, d = 2.966 Å, intensity 41; 2θ 30.23, d = 2.956 Å, intensity 26; 2θ 35.30, d = 2.543 Å, intensity 83; 2θ 35.54, d = 2.526 Å, intensity 100; 2θ 43.02, d = 2.102 Å, intensity 18; 2θ 56.76, d = 1.622 Å, intensity 15; 2θ 57.04, d = 1.615 Å, intensity 24; 2θ 57.16, d = 1.611 Å, intensity 21; 2θ 62.63, d = 1.483 Å, intensity 54

Structure:
a = 5.931 Å, b = 5.931 Å, c = 14.495 Å
α = 90.08°, β = 90.08°, γ = 60.56°
Element x y z (fractional)
Mg 0.000 0.000 0.000
Mg 0.005 0.005 0.625
Mg 0.167 0.167 0.166
Mg 0.333 0.333 0.333
Mg 0.501 0.501 0.499
Mg 0.834 0.834 0.834
Ga 0.167 0.666 0.166
Ga 0.327 0.327 0.707
Ga 0.329 0.836 0.834
Ga 0.340 0.340 0.957
Ga 0.502 0.996 0.499
Ga 0.660 0.660 0.045
Ga 0.666 0.167 0.166
Ga 0.667 0.667 0.662
Ga 0.673 0.673 0.287
Ga 0.836 0.329 0.834
Ga 0.994 0.994 0.378
Ga 0.996 0.502 0.499
O 0.007 0.007 0.763
O 0.018 0.499 0.245
O 0.164 0.164 0.913
O 0.166 0.681 0.913
O 0.168 0.650 0.421
O 0.172 0.172 0.421
O 0.316 0.835 0.087
O 0.330 0.330 0.577
O 0.338 0.338 0.089
O 0.366 0.826 0.580
O 0.495 0.495 0.245
O 0.499 0.018 0.245
O 0.506 0.977 0.750
O 0.508 0.508 0.751
O 0.650 0.168 0.421
O 0.662 0.662 0.910
O 0.670 0.670 0.418
O 0.681 0.166 0.913
O 0.821 0.821 0.578
O 0.826 0.366 0.580
O 0.835 0.316 0.087
O 0.839 0.839 0.087
O 0.977 0.506 0.750
O 0.996 0.996 0.244

=====

4.
Starting from a crystal structure in the Materials Project, relaxed with GGA-PBE, the powder X-ray diffraction pattern of CaB3HO6 was computed for copper Kα.
Neutral-atom scattering factors, no anomalous dispersion.

Largest 10 diffraction maxima, in order of rising 2θ, 2θ from 10° to 80°:
2θ 23.69, d = 3.756 Å, intensity 70; 2θ 23.94, d = 3.717 Å, intensity 63; 2θ 24.59, d = 3.621 Å, intensity 47; 2θ 25.25, d = 3.528 Å, intensity 60; 2θ 26.15, d = 3.408 Å, intensity 54; 2θ 33.12, d = 2.705 Å, intensity 100; 2θ 40.65, d = 2.219 Å, intensity 62; 2θ 43.56, d = 2.078 Å, intensity 58; 2θ 44.86, d = 2.021 Å, intensity 52; 2θ 46.79, d = 1.941 Å, intensity 44

Structure:
a = 13.614 Å, b = 7.055 Å, c = 4.437 Å
α = 90.00°, β = 90.00°, γ = 90.00°
Element x y z (fractional)
Ca 0.094 0.203 0.000
Ca 0.406 0.703 0.500
Ca 0.594 0.297 0.000
Ca 0.906 0.797 0.500
B 0.072 0.717 0.032
B 0.145 0.845 0.552
B 0.230 0.595 0.838
B 0.270 0.095 0.338
B 0.355 0.345 0.052
B 0.428 0.217 0.532
B 0.572 0.783 0.032
B 0.645 0.655 0.552
B 0.730 0.905 0.838
B 0.770 0.405 0.338
B 0.855 0.155 0.052
B 0.928 0.283 0.532
H 0.046 0.475 0.478
H 0.454 0.975 0.978
H 0.546 0.025 0.478
H 0.954 0.525 0.978
O 0.032 0.339 0.457
O 0.071 0.758 0.355
O 0.098 0.881 0.846
O 0.142 0.552 0.975
O 0.179 0.026 0.419
O 0.233 0.722 0.601
O 0.267 0.222 0.101
O 0.321 0.526 0.919
O 0.358 0.052 0.475
O 0.402 0.381 0.346
O 0.429 0.258 0.855
O 0.468 0.839 0.957
O 0.532 0.161 0.457
O 0.571 0.742 0.355
O 0.598 0.619 0.846
O 0.642 0.948 0.975
O 0.679 0.474 0.419
O 0.733 0.778 0.601
O 0.767 0.278 0.101
O 0.821 0.974 0.919
O 0.858 0.448 0.475
O 0.902 0.119 0.346
O 0.929 0.242 0.855
O 0.968 0.661 0.957

=====

5.
Starting from a crystal structure in the Materials Project, relaxed with GGA-PBE, the powder X-ray diffraction pattern of Li3NbN2 was computed for copper Kα.
Neutral-atom scattering factors, no anomalous dispersion.

Largest 10 diffraction maxima, in order of rising 2θ, 2θ from 10° to 80°:
2θ 21.85, d = 4.068 Å, intensity 100; 2θ 33.65, d = 2.663 Å, intensity 68; 2θ 36.05, d = 2.491 Å, intensity 21; 2θ 42.55, d = 2.124 Å, intensity 20; 2θ 50.14, d = 1.819 Å, intensity 16; 2θ 51.91, d = 1.762 Å, intensity 36; 2θ 56.97, d = 1.616 Å, intensity 21; 2θ 63.30, d = 1.469 Å, intensity 13; 2θ 69.29, d = 1.356 Å, intensity 17; 2θ 75.06, d = 1.266 Å, intensity 12

Structure:
a = 8.630 Å, b = 8.630 Å, c = 8.630 Å
α = 109.47°, β = 109.47°, γ = 109.47°
Element x y z (fractional)
Li 0.003 0.948 0.231
Li 0.052 0.769 0.997
Li 0.055 0.503 0.272
Li 0.217 0.772 0.269
Li 0.228 0.731 0.783
Li 0.231 0.003 0.948
Li 0.269 0.217 0.772
Li 0.272 0.055 0.503
Li 0.283 0.552 0.555
Li 0.445 0.717 0.448
Li 0.448 0.445 0.717
Li 0.497 0.728 0.945
Li 0.503 0.272 0.055
Li 0.552 0.555 0.283
Li 0.555 0.283 0.552
Li 0.717 0.448 0.445
Li 0.728 0.945 0.497
Li 0.731 0.783 0.228
Li 0.769 0.997 0.052
Li 0.772 0.269 0.217
Li 0.783 0.228 0.731
Li 0.945 0.497 0.728
Li 0.948 0.231 0.003
Li 0.997 0.052 0.769
Nb 0.000 0.237 0.500
Nb 0.000 0.763 0.500
Nb 0.237 0.500 0.000
Nb 0.263 0.263 0.263
Nb 0.500 0.000 0.237
Nb 0.500 0.000 0.763
Nb 0.737 0.737 0.737
Nb 0.763 0.500 0.000
N 0.000 0.000 0.500
N 0.000 0.500 0.000
N 0.015 0.250 0.265
N 0.235 0.485 0.750
N 0.250 0.265 0.015
N 0.250 0.765 0.515
N 0.265 0.015 0.250
N 0.485 0.750 0.235
N 0.500 0.000 0.000
N 0.500 0.500 0.500
N 0.515 0.250 0.765
N 0.735 0.985 0.750
N 0.750 0.235 0.485
N 0.750 0.735 0.985
N 0.765 0.515 0.250
N 0.985 0.750 0.735

=====

6.
Starting from a crystal structure in the Materials Project, relaxed with GGA-PBE, the powder X-ray diffraction pattern of InCuTe2 was computed for copper Kα.
Neutral-atom scattering factors, no anomalous dispersion.

Largest 10 diffraction maxima, in order of rising 2θ, 2θ from 10° to 80°:
2θ 24.50, d = 3.633 Å, intensity 100; 2θ 32.63, d = 2.745 Å, intensity 7; 2θ 40.55, d = 2.225 Å, intensity 74; 2θ 47.95, d = 1.897 Å, intensity 44; 2θ 58.61, d = 1.575 Å, intensity 4; 2θ 58.73, d = 1.572 Å, intensity 7; 2θ 64.56, d = 1.444 Å, intensity 16; 2θ 65.05, d = 1.434 Å, intensity 4; 2θ 73.77, d = 1.284 Å, intensity 21; 2θ 79.12, d = 1.211 Å, intensity 8

Structure:
a = 6.288 Å, b = 6.288 Å, c = 12.600 Å
α = 90.00°, β = 90.00°, γ = 90.00°
Element x y z (fractional)
In 0.000 0.000 0.000
In 0.000 0.500 0.250
In 0.500 0.000 0.750
In 0.500 0.500 0.500
Cu 0.000 0.000 0.500
Cu 0.000 0.500 0.750
Cu 0.500 0.000 0.250
Cu 0.500 0.500 0.000
Te 0.215 0.750 0.625
Te 0.250 0.215 0.375
Te 0.250 0.285 0.875
Te 0.285 0.750 0.125
Te 0.715 0.250 0.125
Te 0.750 0.715 0.875
Te 0.750 0.785 0.375
Te 0.785 0.250 0.625

=====

7.
Starting from a crystal structure in the Materials Project, relaxed with GGA-PBE, the powder X-ray diffraction pattern of MgAlIr2 was computed for copper Kα.
Neutral-atom scattering factors, no anomalous dispersion.

Largest 6 diffraction maxima, in order of rising 2θ, 2θ from 10° to 80°:
2θ 29.22, d = 3.056 Å, intensity 74; 2θ 41.80, d = 2.161 Å, intensity 100; 2θ 51.81, d = 1.765 Å, intensity 21; 2θ 60.59, d = 1.528 Å, intensity 17; 2θ 68.67, d = 1.367 Å, intensity 27; 2θ 76.32, d = 1.248 Å, intensity 35

Structure:
a = 6.113 Å, b = 6.113 Å, c = 6.113 Å
α = 90.00°, β = 90.00°, γ = 90.00°
Element x y z (fractional)
Mg 0.000 0.000 0.000
Mg 0.000 0.500 0.500
Mg 0.500 0.000 0.500
Mg 0.500 0.500 0.000
Al 0.000 0.000 0.500
Al 0.000 0.500 0.000
Al 0.500 0.000 0.000
Al 0.500 0.500 0.500
Ir 0.250 0.250 0.250
Ir 0.250 0.250 0.750
Ir 0.250 0.750 0.250
Ir 0.250 0.750 0.750
Ir 0.750 0.250 0.250
Ir 0.750 0.250 0.750
Ir 0.750 0.750 0.250
Ir 0.750 0.750 0.750

=====

8.
Starting from a crystal structure in the Materials Project, relaxed with GGA-PBE, the powder X-ray diffraction pattern of Sr2TaInO6 was computed for copper Kα.
Neutral-atom scattering factors, no anomalous dispersion.

Largest 10 diffraction maxima, in order of rising 2θ, 2θ from 10° to 80°:
2θ 21.83, d = 4.071 Å, intensity 13; 2θ 30.69, d = 2.914 Å, intensity 100; 2θ 31.07, d = 2.879 Å, intensity 55; 2θ 43.38, d = 2.086 Å, intensity 17; 2θ 44.51, d = 2.036 Å, intensity 28; 2θ 54.31, d = 1.689 Å, intensity 23; 2θ 55.03, d = 1.669 Å, intensity 44; 2θ 63.90, d = 1.457 Å, intensity 18; 2θ 71.72, d = 1.316 Å, intensity 9; 2θ 73.57, d = 1.287 Å, intensity 11

Structure:
a = 5.829 Å, b = 5.829 Å, c = 5.829 Å
α = 120.81°, β = 120.81°, γ = 88.60°
Element x y z (fractional)
Sr 0.250 0.750 0.500
Sr 0.750 0.250 0.500
Ta 0.000 0.000 0.000
In 0.500 0.500 0.000
O 0.181 0.703 0.884
O 0.240 0.240 0.000
O 0.297 0.181 0.478
O 0.703 0.819 0.522
O 0.760 0.760 0.000
O 0.819 0.297 0.116

=====

9.
Starting from a crystal structure in the Materials Project, relaxed with GGA-PBE, the powder X-ray diffraction pattern of MgSi was computed for copper Kα.
Neutral-atom scattering factors, no anomalous dispersion.

Largest 10 diffraction maxima, in order of rising 2θ, 2θ from 10° to 80°:
2θ 31.93, d = 2.803 Å, intensity 35; 2θ 35.40, d = 2.535 Å, intensity 37; 2θ 35.67, d = 2.517 Å, intensity 67; 2θ 36.51, d = 2.461 Å, intensity 100; 2θ 37.35, d = 2.407 Å, intensity 38; 2θ 37.80, d = 2.380 Å, intensity 27; 2θ 38.51, d = 2.338 Å, intensity 75; 2θ 40.90, d = 2.207 Å, intensity 89; 2θ 41.54, d = 2.174 Å, intensity 67; 2θ 44.84, d = 2.021 Å, intensity 32

Structure:
a = 4.429 Å, b = 5.539 Å, c = 9.863 Å
α = 99.77°, β = 93.90°, γ = 110.03°
Element x y z (fractional)
Mg 0.056 0.191 0.170
Mg 0.237 0.411 0.878
Mg 0.377 0.798 0.356
Mg 0.623 0.202 0.644
Mg 0.763 0.589 0.122
Mg 0.944 0.809 0.830
Si 0.107 0.207 0.452
Si 0.314 0.598 0.637
Si 0.377 0.858 0.078
Si 0.623 0.142 0.922
Si 0.686 0.402 0.363
Si 0.893 0.793 0.548